Diffraction record for La2ThS5. The powder XRD pattern is theoretical, not measured: it uses DFT lattice parameters and positions (GGA-PBE) and a wavelength of 1.5418 Å.
No peak broadening, texture or thermal motion is included.

Largest 8 diffraction maxima, low angle first, 2θ from 15° to 90°:
two_theta, I/Imax, index
23.28, 46, 0 0 2
24.86, 100, 3 0 1
25.35, 87, 1 2 1
25.85, 70, 2 2 0
35.06, 71, 2 2 2
36.53, 35, 4 2 0
44.69, 61, 6 0 0
50.53, 31, 3 4 1

```
data_La2ThS5
_cell_length_a 12.166
_cell_length_b 8.367
_cell_length_c 7.641
_cell_angle_alpha 90.00
_cell_angle_beta 90.00
_cell_angle_gamma 90.00
_symmetry_space_group_name_H-M 'P n m a'
_symmetry_Int_Tables_number 62
loop_
_symmetry_equiv_pos_as_xyz
'x,y,z'
'-x,-y,-z'
'-x+1/2,-y,z+1/2'
'x+1/2,y,-z+1/2'
'x+1/2,-y+1/2,-z+1/2'
'-x+1/2,y+1/2,z+1/2'
'-x,y+1/2,-z'
'x,-y+1/2,z'
loop_
_atom_site_label
_atom_site_type_symbol
_atom_site_fract_x
_atom_site_fract_y
_atom_site_fract_z
La1 La 0.177 0.001 0.021
Th1 Th 0.009 0.250 0.574
S1 S 0.002 0.250 0.955
S2 S 0.098 0.541 0.662
S3 S 0.188 0.250 0.332
S4 S 0.216 0.750 0.303
```